Computed X-ray powder pattern of MgTi2Zn2P2O10 for Cu Kα (weighted mean of Kα1 and Kα2), from a DFT-relaxed cell (GGA-PBE, the Materials Project).
Lines closer than 0.1° are merged.

Peak list (10 most intense, 10° ≤ 2θ ≤ 90°, by angle)
4.923 Å, I 47
3.782 Å, I 69
3.692 Å, I 63
3.128 Å, I 100
3.100 Å, I 96
3.021 Å, I 53
2.707 Å, I 43
2.653 Å, I 44
2.561 Å, I 60
2.263 Å, I 74

Cell and atoms:
Cell: 5.493 6.437 6.563 Å, 99.28 106.29 96.86°
Fractional positions:
Mg1 0.000 0.000 0.000
Ti1 0.850 0.532 0.646
Ti2 0.885 0.593 0.197
Zn1 0.346 0.561 0.863
Zn2 0.648 0.996 0.448
P1 0.199 0.252 0.410
P2 0.534 0.111 0.946
O1 0.105 0.348 0.204
O2 0.230 0.016 0.327
O3 0.248 0.036 0.844
O4 0.465 0.373 0.561
O5 0.584 0.358 0.047
O6 0.662 0.995 0.131
O7 0.690 0.069 0.781
O8 0.786 0.714 0.444
O9 0.879 0.679 0.932
O10 0.978 0.257 0.522

---

Computed X-ray powder pattern of MgTi2Zn2P2O10 for Cu Kα (weighted mean of Kα1 and Kα2), from a DFT-relaxed cell (GGA-PBE, the Materials Project).
Lines closer than 0.1° are merged.

Peak list (10 most intense, 10° ≤ 2θ ≤ 90°, by angle)
5.050 Å, I 73
3.450 Å, I 40
3.395 Å, I 65
3.379 Å, I 65
3.271 Å, I 85
2.709 Å, I 78
2.650 Å, I 100
2.584 Å, I 41
2.289 Å, I 45
2.085 Å, I 47

Cell and atoms:
Cell: 5.488 5.699 7.512 Å, 104.91 107.97 98.91°
Fractional positions:
Mg1 0.000 0.000 0.000
Ti1 0.431 0.136 0.820
Ti2 0.472 0.169 0.352
Zn1 0.172 0.503 0.535
Zn2 0.557 0.771 0.990
P1 0.097 0.507 0.087
P2 0.749 0.796 0.539
O1 0.009 0.926 0.724
O2 0.117 0.785 0.182
O3 0.164 0.373 0.249
O4 0.286 0.478 0.968
O5 0.356 0.243 0.584
O6 0.411 0.097 0.079
O7 0.500 0.797 0.598
O8 0.727 0.936 0.387
O9 0.778 0.518 0.462
O10 0.821 0.343 0.942

---

Computed X-ray powder pattern of MgU2P2O22 for Cu Kα (weighted mean of Kα1 and Kα2), from a DFT-relaxed cell (GGA-PBE, the Materials Project).
Lines closer than 0.1° are merged.

Peak list (10 most intense, 10° ≤ 2θ ≤ 90°, by angle)
6.540 Å, I 27
4.777 Å, I 44
4.698 Å, I 100
4.488 Å, I 29
4.273 Å, I 18
3.484 Å, I 52
3.422 Å, I 21
3.348 Å, I 65
3.271 Å, I 47
2.388 Å, I 17

Cell and atoms:
Cell: 6.967 19.089 9.558 Å, 90.00 133.13 90.00°
Fractional positions:
Mg1 0.000 0.000 0.000
Mg2 0.000 0.500 0.500
U1 0.420 0.199 0.472
U2 0.420 0.301 0.972
U3 0.580 0.699 0.028
U4 0.580 0.801 0.528
P1 0.081 0.749 0.529
P2 0.081 0.751 0.029
P3 0.919 0.249 0.971
P4 0.919 0.251 0.471
O1 0.001 0.058 0.619
O2 0.001 0.442 0.119
O3 0.070 0.204 0.443
O4 0.070 0.296 0.943
O5 0.117 0.530 0.842
O6 0.117 0.970 0.342
O7 0.120 0.201 0.149
O8 0.120 0.299 0.649
O9 0.225 0.704 0.995
O10 0.225 0.796 0.495
O11 0.263 0.074 0.100
O12 0.263 0.426 0.600
O13 0.267 0.580 0.347
O14 0.267 0.920 0.847
O15 0.273 0.571 0.478
O16 0.273 0.929 0.978
O17 0.280 0.700 0.703
O18 0.280 0.800 0.203
O19 0.417 0.103 0.471
O20 0.417 0.397 0.971
O21 0.419 0.207 0.972
O22 0.419 0.293 0.472
O23 0.581 0.707 0.528
O24 0.581 0.793 0.028
O25 0.583 0.603 0.029
O26 0.583 0.897 0.529
O27 0.720 0.200 0.797
O28 0.720 0.300 0.297
O29 0.727 0.071 0.022
O30 0.727 0.429 0.522
O31 0.733 0.080 0.153
O32 0.733 0.420 0.653
O33 0.737 0.574 0.400
O34 0.737 0.926 0.900
O35 0.775 0.204 0.505
O36 0.775 0.296 0.005
O37 0.880 0.701 0.351
O38 0.880 0.799 0.851
O39 0.883 0.030 0.658
O40 0.883 0.470 0.158
O41 0.930 0.704 0.057
O42 0.930 0.796 0.557
O43 0.999 0.558 0.881
O44 0.999 0.942 0.381

---

Computed X-ray powder pattern of MgZn2P2O8 for Cu Kα (weighted mean of Kα1 and Kα2), from a DFT-relaxed cell (GGA-PBE, the Materials Project).
Lines closer than 0.1° are merged.

Peak list (10 most intense, 10° ≤ 2θ ≤ 90°, by angle)
4.444 Å, I 56
4.368 Å, I 46
4.081 Å, I 17
3.929 Å, I 18
3.482 Å, I 100
3.247 Å, I 23
2.552 Å, I 52
2.457 Å, I 31
2.442 Å, I 17
2.058 Å, I 20

Cell and atoms:
Cell: 5.134 8.407 8.839 Å, 90.00 120.06 90.00°
Fractional positions:
Mg1 0.000 0.000 0.000
Mg2 0.000 0.500 0.500
Zn1 0.036 0.138 0.620
Zn2 0.036 0.362 0.120
Zn3 0.964 0.638 0.880
Zn4 0.964 0.862 0.380
P1 0.337 0.692 0.301
P2 0.337 0.808 0.801
P3 0.663 0.192 0.199
P4 0.663 0.308 0.699
O1 0.182 0.641 0.743
O2 0.182 0.859 0.243
O3 0.207 0.579 0.138
O4 0.207 0.921 0.638
O5 0.258 0.628 0.436
O6 0.258 0.872 0.936
O7 0.318 0.200 0.120
O8 0.318 0.300 0.620
O9 0.682 0.700 0.380
O10 0.682 0.800 0.880
O11 0.742 0.128 0.064
O12 0.742 0.372 0.564
O13 0.793 0.079 0.362
O14 0.793 0.421 0.862
O15 0.818 0.141 0.757
O16 0.818 0.359 0.257

---

Computed X-ray powder pattern of MgRePb2O6 for Cu Kα (weighted mean of Kα1 and Kα2), from a DFT-relaxed cell (GGA-PBE, the Materials Project).
Lines closer than 0.1° are merged.

Peak list (10 most intense, 10° ≤ 2θ ≤ 90°, by angle)
4.640 Å, I 18
4.018 Å, I 9
2.841 Å, I 100
2.423 Å, I 9
2.320 Å, I 10
2.009 Å, I 28
1.640 Å, I 41
1.421 Å, I 18
1.271 Å, I 18
1.160 Å, I 6

Cell and atoms:
Cell: 5.682 5.682 5.682 Å, 60.00 60.00 60.00°
Fractional positions:
Mg1 0.000 0.000 0.000
Re1 0.500 0.500 0.500
Pb1 0.250 0.250 0.250
Pb2 0.750 0.750 0.750
O1 0.259 0.259 0.741
O2 0.259 0.741 0.259
O3 0.259 0.741 0.741
O4 0.741 0.259 0.259
O5 0.741 0.259 0.741
O6 0.741 0.741 0.259

---

Computed X-ray powder pattern of MgSb2PbO6 for Cu Kα (weighted mean of Kα1 and Kα2), from a DFT-relaxed cell (GGA-PBE, the Materials Project).
Lines closer than 0.1° are merged.

Peak list (10 most intense, 10° ≤ 2θ ≤ 90°, by angle)
3.660 Å, I 100
2.861 Å, I 50
2.715 Å, I 11
2.254 Å, I 27
1.969 Å, I 48
1.772 Å, I 18
1.769 Å, I 9
1.700 Å, I 11
1.653 Å, I 10
1.412 Å, I 8

Cell and atoms:
Cell: 5.718 5.718 5.429 Å, 90.01 90.01 119.84°
Fractional positions:
Mg1 0.000 0.000 0.000
Sb1 0.331 0.669 0.500
Sb2 0.998 0.002 0.500
Pb1 0.666 0.334 0.000
O1 0.024 0.291 0.733
O2 0.024 0.739 0.268
O3 0.260 0.290 0.268
O4 0.261 0.976 0.732
O5 0.709 0.976 0.267
O6 0.710 0.740 0.732

---

Computed X-ray powder pattern of MgTePb2O6 for Cu Kα (weighted mean of Kα1 and Kα2), from a DFT-relaxed cell (GGA-PBE, the Materials Project).
Lines closer than 0.1° are merged.

Peak list (10 most intense, 10° ≤ 2θ ≤ 90°, by angle)
4.668 Å, I 9
4.042 Å, I 21
2.858 Å, I 100
2.335 Å, I 13
2.021 Å, I 29
1.651 Å, I 24
1.648 Å, I 17
1.430 Å, I 9
1.428 Å, I 9
1.278 Å, I 10

Cell and atoms:
Cell: 5.709 5.710 5.714 Å, 60.14 60.15 60.08°
Fractional positions:
Mg1 0.000 0.000 0.000
Te1 0.506 0.500 0.497
Pb1 0.234 0.258 0.260
Pb2 0.738 0.743 0.754
O1 0.262 0.743 0.735
O2 0.268 0.257 0.724
O3 0.281 0.739 0.240
O4 0.743 0.264 0.741
O5 0.752 0.735 0.269
O6 0.762 0.262 0.254